# PWO5
Theoretical powder diffraction line list, λ = 1.5418 Å (Cu Kα). Input: a structure optimized by DFT (PBE+U).

Crystal structure
Cell: 11.4721 6.7214 5.3492 Å, 90.00 90.00 90.00°
Element x y z (fractional)
P (0.1557, 0.0292, 0.0000)
P (0.3443, 0.5292, 0.5000)
P (0.6557, 0.4708, 0.0000)
P (0.8443, 0.9708, 0.5000)
W (0.0626, 0.3294, 0.4937)
W (0.4374, 0.8294, 0.9937)
W (0.5626, 0.1706, 0.4937)
W (0.9374, 0.6706, 0.9937)
O (0.0062, 0.4827, 0.1949)
O (0.0857, 0.8358, 0.9796)
O (0.1219, 0.1732, 0.7899)
O (0.1327, 0.1310, 0.2563)
O (0.2144, 0.4831, 0.4772)
O (0.2856, 0.9831, 0.9772)
O (0.3673, 0.6310, 0.7563)
O (0.3781, 0.6732, 0.2899)
O (0.4143, 0.3358, 0.4796)
O (0.4938, 0.9827, 0.6949)
O (0.5062, 0.0173, 0.1949)
O (0.5857, 0.6642, 0.9796)
O (0.6219, 0.3268, 0.7899)
O (0.6327, 0.3690, 0.2563)
O (0.7144, 0.0169, 0.4772)
O (0.7856, 0.5169, 0.9772)
O (0.8673, 0.8690, 0.7563)
O (0.8781, 0.8268, 0.2899)
O (0.9143, 0.1642, 0.4796)
O (0.9938, 0.5173, 0.6949)

Principal peaks in the range 10° ≤ 2θ ≤ 90°, by intensity:
| Position (°2θ) | intensity | h k l |
| --- | --- | --- |
| 21.2 | 100 | 0 1 1 |
| 20.4 | 73 | 2 1 0 |
| 26.4 | 61 | 2 1 1 |
| 15.4 | 58 | 2 0 0 |
| 35.5 | 47 | 4 0 1 |
| 32.4 | 46 | 1 2 1 |
| 22.6 | 43 | 1 1 1 |
| 15.3 | 28 | 1 1 0 |
| 50.2 | 27 | 3 3 1 |
| 49.6 | 24 | 3 2 2 |